For Ba6Ag3I14, a GGA-PBE-relaxed structure gives the theoretical PXRD pattern in this record (copper Kα).
Kinematic intensities with the Lorentz-polarization factor, no thermal factor.

Main lines, low angle first (15 to 90 degrees two-theta):
25.07 deg, 3.553 Å, I 100, (1 2 1); 26.17 deg, 3.405 Å, I 37, (0 1 2); 27.68 deg, 3.222 Å, I 76, (0 3 1); 28.58 deg, 3.123 Å, I 93, (2 2 0); 28.70 deg, 3.111 Å, I 38, (2 -1 2); 29.77 deg, 3.001 Å, I 45, (3 1 0); 29.89 deg, 2.990 Å, I 94, (2 0 2); 33.22 deg, 2.697 Å, I 32, (3 -2 2); 40.21 deg, 2.243 Å, I 28, (4 1 1); 43.85 deg, 2.064 Å, I 28, (2 1 3)

```
Ba6Ag3I14
1.0
12.4929 0.0000 0.0000
-6.2465 10.8192 0.0000
0.0000 0.0000 7.1747
Ba Ag I
6 3 14
Direct
0.0337 0.4742 0.0000
0.3013 0.1919 0.5048
0.4405 0.9663 0.0000
0.5258 0.5595 0.0000
0.8081 0.1093 0.5048
0.8907 0.6987 0.5048
0.0000 0.0000 0.1079
0.3333 0.6667 0.6035
0.6667 0.3333 0.7426
0.0000 0.0000 0.7111
0.0918 0.2450 0.2495
0.1532 0.9082 0.2495
0.1792 0.7574 0.7466
0.2426 0.4217 0.7466
0.3333 0.6667 0.2074
0.4042 0.2315 0.9943
0.5063 0.0688 0.4762
0.5625 0.4937 0.4762
0.5783 0.8208 0.7466
0.7550 0.8468 0.2495
0.7685 0.1727 0.9943
0.8273 0.5958 0.9943
0.9312 0.4375 0.4762
```